For CaInSn6, a structure optimized by DFT (GGA-PBE) gives the simulated X-ray diffraction stick pattern in this record (Cu Kα).
No peak broadening, texture or thermal motion is included.

Principal peaks in the range 2θ from 10° to 90°, in order of rising 2θ:
Position (°2θ), d_spacing, intensity
32.29, 2.772, 43
32.80, 2.730, 100
40.04, 2.252, 24
43.47, 2.082, 39
52.69, 1.737, 21
67.59, 1.386, 26

Structural model:
Cell: 6.305 6.305 6.435 Å, 90.00 90.00 120.00°
Sites, in units of the cell vectors:
Ca 0.000 0.000 0.000
In 0.000 0.000 0.500
Sn 0.000 0.500 0.252
Sn 0.000 0.500 0.748
Sn 0.500 0.000 0.252
Sn 0.500 0.000 0.748
Sn 0.500 0.500 0.252
Sn 0.500 0.500 0.748

=====

For Ca2InSn2, a structure optimized by DFT (GGA-PBE) gives the simulated X-ray diffraction stick pattern in this record (Cu Kα).
No peak broadening, texture or thermal motion is included.

Principal peaks in the range 2θ from 10° to 90°, in order of rising 2θ:
Position (°2θ), d_spacing, intensity
18.56, 4.781, 47
31.68, 2.824, 100
36.30, 2.475, 49
37.62, 2.391, 20
41.07, 2.198, 32
45.94, 1.975, 21

Structural model:
Cell: 7.827 7.827 9.562 Å, 90.00 90.00 90.00°
Sites, in units of the cell vectors:
Ca 0.168 0.332 0.000
Ca 0.168 0.332 0.500
Ca 0.332 0.832 0.000
Ca 0.332 0.832 0.500
Ca 0.668 0.168 0.000
Ca 0.668 0.168 0.500
Ca 0.832 0.668 0.000
Ca 0.832 0.668 0.500
In 0.000 0.000 0.197
In 0.000 0.000 0.803
In 0.500 0.500 0.303
In 0.500 0.500 0.697
Sn 0.134 0.634 0.250
Sn 0.134 0.634 0.750
Sn 0.366 0.134 0.250
Sn 0.366 0.134 0.750
Sn 0.634 0.866 0.250
Sn 0.634 0.866 0.750
Sn 0.866 0.366 0.250
Sn 0.866 0.366 0.750

=====

For Ca2In12Sn5, a structure optimized by DFT (GGA-PBE) gives the simulated X-ray diffraction stick pattern in this record (Cu Kα).
No peak broadening, texture or thermal motion is included.

Principal peaks in the range 2θ from 10° to 90°, in order of rising 2θ:
Position (°2θ), d_spacing, intensity
28.06, 3.180, 29
31.33, 2.855, 63
33.45, 2.679, 26
34.48, 2.601, 100
35.25, 2.546, 20
35.94, 2.499, 40

Structural model:
Cell: 10.490 10.490 5.561 Å, 103.94 103.94 65.97°
Sites, in units of the cell vectors:
Ca 0.194 0.806 0.000
Ca 0.806 0.194 0.000
In 0.061 0.545 0.808
In 0.140 0.140 0.019
In 0.146 0.644 0.403
In 0.356 0.854 0.597
In 0.427 0.427 0.763
In 0.455 0.939 0.192
In 0.545 0.061 0.808
In 0.573 0.573 0.237
In 0.644 0.146 0.403
In 0.854 0.356 0.597
In 0.860 0.860 0.981
In 0.939 0.455 0.192
Sn 0.000 0.000 0.500
Sn 0.221 0.221 0.598
Sn 0.326 0.326 0.181
Sn 0.674 0.674 0.819
Sn 0.779 0.779 0.402